Theoretical XRD peak list
Compound: VCoGe
Radiation: Cu Kα
Structure: a GGA-PBE-relaxed structure
Peak positions follow from Bragg's law for the DFT cell and can differ from measured ones.

Main lines, by intensity (2θ = 10–80°):
(hkl)	Position (°2θ)	I_rel
2 1 1	40.75	100
1 1 2	38.58	83
0 1 3	46.18	49
0 2 0	49.81	47
1 1 3	48.70	42
3 0 2	52.32	37
3 0 1	46.81	30
2 0 0	29.49	25
3 2 2	75.13	24
3 1 1	53.43	20

```
data_VCoGe
_chemical_formula_sum 'V4 Co4 Ge4'
_cell_length_a 6.0606
_cell_length_b 3.6612
_cell_length_c 6.9901
_cell_angle_alpha 90.00
_cell_angle_beta 90.00
_cell_angle_gamma 90.00
_symmetry_space_group_name_H-M 'P n m a'
_symmetry_Int_Tables_number 62
loop_
_symmetry_equiv_pos_as_xyz
'x,y,z'
'-x,-y,-z'
'-x+1/2,-y,z+1/2'
'x+1/2,y,-z+1/2'
'x+1/2,-y+1/2,-z+1/2'
'-x+1/2,y+1/2,z+1/2'
'-x,y+1/2,-z'
'x,-y+1/2,z'
loop_
_atom_site_label
_atom_site_type_symbol
_atom_site_fract_x
_atom_site_fract_y
_atom_site_fract_z
V1 V 0.0278 0.2500 0.1794
Co1 Co 0.1416 0.2500 0.5579
Ge1 Ge 0.2382 0.7500 0.3739
```

=====

Theoretical XRD peak list
Compound: Al3Pd2
Radiation: Cu Kα
Structure: a GGA-PBE-relaxed structure
Peak positions follow from Bragg's law for the DFT cell and can differ from measured ones.

Main lines, by intensity (2θ = 10–80°):
(hkl)	Position (°2θ)	I_rel
1 0 2	42.48	100
1 1 0	42.63	83
0 1 1	29.74	74
1 0 0	24.23	50
0 0 1	16.98	42
2 1 2	77.94	32
0 2 2	61.76	32
1 1 1	46.20	19
2 0 1	52.84	15
3 0 0	78.04	13

```
data_Al3Pd2
_chemical_formula_sum 'Al3 Pd2'
_cell_length_a 4.2415
_cell_length_b 4.2415
_cell_length_c 5.2212
_cell_angle_alpha 90.00
_cell_angle_beta 90.00
_cell_angle_gamma 120.00
_symmetry_space_group_name_H-M 'P -3 m 1'
_symmetry_Int_Tables_number 164
_symmetry_space_group_name_Hall '-P 3 2"'
loop_
_atom_site_label
_atom_site_type_symbol
_atom_site_fract_x
_atom_site_fract_y
_atom_site_fract_z
Al1 Al 0.0000 0.0000 0.0000
Al2 Al 0.3333 0.6667 0.3550
Pd1 Pd 0.3333 0.6667 0.8420
```

=====

Theoretical XRD peak list
Compound: NdP2Pt2
Radiation: Cu Kα
Structure: a GGA-PBE-relaxed structure
Peak positions follow from Bragg's law for the DFT cell and can differ from measured ones.

Main lines, by intensity (2θ = 10–80°):
(hkl)	Position (°2θ)	I_rel
1 1 4	34.86	100
1 1 2	30.83	94
2 0 0	42.02	87
1 0 5	31.11	83
1 0 7	38.75	38
2 1 5	53.20	38
2 2 0	60.94	29
1 1 8	48.10	29
1 1 12	65.58	25
3 1 4	72.16	24

```
data_NdP2Pt2
_chemical_formula_sum 'Nd4 P8 Pt8'
_cell_length_a 4.3003
_cell_length_b 4.3003
_cell_length_c 19.3303
_cell_angle_alpha 90.00
_cell_angle_beta 90.00
_cell_angle_gamma 90.00
_symmetry_space_group_name_H-M 'I 4/m m m'
_symmetry_Int_Tables_number 139
_symmetry_space_group_name_Hall '-I 4 2'
loop_
_atom_site_label
_atom_site_type_symbol
_atom_site_fract_x
_atom_site_fract_y
_atom_site_fract_z
Nd1 Nd 0.0000 0.0000 0.1251
P1 P 0.0000 0.0000 0.4305
P2 P 0.0000 0.5000 0.2500
Pt1 Pt 0.0000 0.0000 0.3069
Pt2 Pt 0.0000 0.5000 0.0000
```

=====

Theoretical XRD peak list
Compound: Rb3SbO3
Radiation: Cu Kα
Structure: a GGA-PBE-relaxed structure
Peak positions follow from Bragg's law for the DFT cell and can differ from measured ones.

Main lines, by intensity (2θ = 10–80°):
(hkl)	Position (°2θ)	I_rel
2 1 -2	27.24	100
2 0 2	26.13	69
0 1 4	34.59	69
1 2 1	28.93	66
4 1 0	41.37	30
3 1 -1	32.30	27
1 1 -3	28.15	22
2 2 2	37.01	22
1 3 -3	46.90	21
0 2 0	25.74	20

```
data_Rb3SbO3
_chemical_formula_sum 'Rb12 Sb4 O12'
_cell_length_a 9.2348
_cell_length_b 6.9213
_cell_length_c 11.2310
_cell_angle_alpha 90.00
_cell_angle_beta 94.99
_cell_angle_gamma 90.00
_symmetry_space_group_name_H-M 'P 1 21/c 1'
_symmetry_Int_Tables_number 14
loop_
_symmetry_equiv_pos_as_xyz
'x,y,z'
'-x,-y,-z'
'-x,y+1/2,-z+1/2'
'x,-y+1/2,z+1/2'
loop_
_atom_site_label
_atom_site_type_symbol
_atom_site_fract_x
_atom_site_fract_y
_atom_site_fract_z
Rb1 Rb 0.0782 0.1426 0.1859
Rb2 Rb 0.3412 0.1948 0.9342
Rb3 Rb 0.4181 0.7249 0.8122
Sb1 Sb 0.1862 0.6490 0.0608
O1 O 0.1821 0.5431 0.8973
O2 O 0.2886 0.0572 0.6591
O3 O 0.3422 0.6547 0.5572
```

=====

Theoretical XRD peak list
Compound: BaCaCeSnO6
Radiation: Cu Kα
Structure: a GGA-PBE-relaxed structure
Peak positions follow from Bragg's law for the DFT cell and can differ from measured ones.

Main lines, by intensity (2θ = 10–80°):
(hkl)	Position (°2θ)	I_rel
1 -1 2	29.78	100
2 0 0	29.97	47
0 0 4	42.65	27
0 2 -4	52.77	20
2 0 -4	52.93	16
1 1 0	20.98	14
2 2 0	42.82	13
3 1 -2	53.06	12
1 -1 6	70.21	11
3 -1 2	53.16	11

```
data_BaCaCeSnO6
_chemical_formula_sum 'Ba2 Ca2 Ce2 Sn2 O12'
_cell_length_a 5.9582
_cell_length_b 6.0109
_cell_length_c 8.4806
_cell_angle_alpha 90.18
_cell_angle_beta 90.28
_cell_angle_gamma 90.21
_symmetry_space_group_name_H-M 'P -1'
_symmetry_Int_Tables_number 2
loop_
_symmetry_equiv_pos_as_xyz
'x,y,z'
'-x,-y,-z'
loop_
_atom_site_label
_atom_site_type_symbol
_atom_site_fract_x
_atom_site_fract_y
_atom_site_fract_z
Ba1 Ba 0.0059 0.0301 0.2500
Ca1 Ca 0.4930 0.5373 0.2532
Ce1 Ce 0.0000 0.5000 0.5000
Ce2 Ce 0.5000 0.0000 0.0000
Sn1 Sn 0.0000 0.5000 0.0000
Sn2 Sn 0.5000 0.0000 0.5000
O1 O 0.1051 0.4995 0.7592
O2 O 0.2050 0.7782 0.0336
O3 O 0.2214 0.7923 0.4697
O4 O 0.2848 0.3024 0.0592
O5 O 0.3063 0.2887 0.4457
O6 O 0.4376 0.0578 0.7412
```

=====

Theoretical XRD peak list
Compound: CeSe2
Radiation: Cu Kα
Structure: a GGA-PBE-relaxed structure
Peak positions follow from Bragg's law for the DFT cell and can differ from measured ones.

Main lines, by intensity (2θ = 10–80°):
(hkl)	Position (°2θ)	I_rel
4 0 0	18.99	100
6 2 2	36.64	98
4 0 2	27.86	61
6 6 2	46.09	60
8 0 0	38.54	34
2 2 2	24.31	30
8 0 4	57.54	29
0 0 4	41.04	24
2 6 0	30.25	24
4 0 4	45.59	20

```
data_CeSe2
_chemical_formula_sum 'Ce32 Se64'
_cell_length_a 18.6886
_cell_length_b 18.6886
_cell_length_c 8.7973
_cell_angle_alpha 90.00
_cell_angle_beta 90.00
_cell_angle_gamma 90.00
_symmetry_space_group_name_H-M 'I 41/a'
_symmetry_Int_Tables_number 88
loop_
_symmetry_equiv_pos_as_xyz
'x,y,z'
'-x,-y,-z'
'-y+3/4,x+1/4,z+1/4'
'y+3/4,-x+1/4,-z+1/4'
'-x+1/2,-y,z+1/2'
'x+1/2,y,-z+1/2'
'y+3/4,-x+3/4,z+3/4'
'-y+3/4,x+3/4,-z+3/4'
'x+1/2,y+1/2,z+1/2'
'-x+1/2,-y+1/2,-z+1/2'
'-y+1/4,x+3/4,z+3/4'
'y+1/4,-x+3/4,-z+3/4'
'-x,-y+1/2,z'
'x,y+1/2,-z'
'y+1/4,-x+1/4,z+1/4'
'-y+1/4,x+1/4,-z+1/4'
loop_
_atom_site_label
_atom_site_type_symbol
_atom_site_fract_x
_atom_site_fract_y
_atom_site_fract_z
Ce1 Ce 0.1235 0.3740 0.4955
Ce2 Ce 0.1253 0.1226 0.2484
Se1 Se 0.0269 0.1273 0.0028
Se2 Se 0.0294 0.1240 0.5005
Se3 Se 0.1235 0.4697 0.7485
Se4 Se 0.1290 0.4725 0.2492
```

=====

Theoretical XRD peak list
Compound: YMg3
Radiation: Cu Kα
Structure: a GGA-PBE-relaxed structure
Peak positions follow from Bragg's law for the DFT cell and can differ from measured ones.

Main lines, by intensity (2θ = 10–80°):
(hkl)	Position (°2θ)	I_rel
2 2 0	34.62	100
1 1 1	21.00	36
4 2 2	62.04	35
2 0 0	24.29	19
3 1 1	40.84	19
4 0 0	49.77	17
4 4 0	73.04	10
3 3 1	54.59	8
4 2 0	56.13	7
5 1 1	66.27	6

```
data_YMg3
_chemical_formula_sum 'Y4 Mg12'
_cell_length_a 7.3282
_cell_length_b 7.3282
_cell_length_c 7.3282
_cell_angle_alpha 90.00
_cell_angle_beta 90.00
_cell_angle_gamma 90.00
_symmetry_space_group_name_H-M 'F m -3 m'
_symmetry_Int_Tables_number 225
_symmetry_space_group_name_Hall '-F 4 2 3'
loop_
_atom_site_label
_atom_site_type_symbol
_atom_site_fract_x
_atom_site_fract_y
_atom_site_fract_z
Y1 Y 0.0000 0.0000 0.0000
Mg1 Mg 0.0000 0.0000 0.5000
Mg2 Mg 0.2500 0.2500 0.2500
```

=====

Theoretical XRD peak list
Compound: CaCu2Te2O8
Radiation: Cu Kα
Structure: a GGA-PBE-relaxed structure
Peak positions follow from Bragg's law for the DFT cell and can differ from measured ones.

Main lines, by intensity (2θ = 10–80°):
(hkl)	Position (°2θ)	I_rel
2 1 1	29.35	100
0 0 4	27.02	96
0 2 1	21.24	53
0 3 1	31.23	39
1 2 -1	25.02	36
1 2 -2	27.59	34
1 1 3	26.46	32
1 2 3	31.87	30
0 2 0	20.17	28
2 1 0	28.41	27

```
data_CaCu2Te2O8
_chemical_formula_sum 'Ca4 Cu8 Te8 O32'
_cell_length_a 6.7289
_cell_length_b 8.8036
_cell_length_c 13.2029
_cell_angle_alpha 90.00
_cell_angle_beta 91.26
_cell_angle_gamma 90.00
_symmetry_space_group_name_H-M 'P 1 21/c 1'
_symmetry_Int_Tables_number 14
loop_
_symmetry_equiv_pos_as_xyz
'x,y,z'
'-x,-y,-z'
'-x,y+1/2,-z+1/2'
'x,-y+1/2,z+1/2'
loop_
_atom_site_label
_atom_site_type_symbol
_atom_site_fract_x
_atom_site_fract_y
_atom_site_fract_z
Ca1 Ca 0.1267 0.1587 0.0449
Cu1 Cu 0.2727 0.6931 0.6166
Cu2 Cu 0.3964 0.0535 0.6298
Te1 Te 0.0875 0.0442 0.3419
Te2 Te 0.3532 0.6075 0.3581
O1 O 0.0143 0.2369 0.3895
O2 O 0.0948 0.0331 0.2027
O3 O 0.1012 0.0943 0.6103
O4 O 0.2100 0.5865 0.4930
O5 O 0.3284 0.5148 0.9028
O6 O 0.3444 0.6326 0.1958
O7 O 0.4301 0.2333 0.0984
O8 O 0.4768 0.0836 0.8583
```